1.
This entry pairs a crystal structure of YTa3 with its simulated powder XRD pattern. Radiation: λ = 1.5418 Å (Cu Kα). Structure: a cell relaxed with PBE.

Top 12 peaks for 2θ = 5–70°, in order of falling intensity:
d_spacing  2θ (°)  Rel. int.
2.489  36.08  100
2.420  37.15  60
7.254  12.20  39
1.410  66.28  34
1.711  53.55  24
1.975  45.96  23
1.451  64.18  12
2.296  39.24  10
1.813  50.32  5
1.666  55.14  4
3.423  26.03  3
1.397  66.99  2

Atomic structure:
a = 3.4228 Å, b = 3.4228 Å, c = 7.2535 Å
α = 90.00°, β = 90.00°, γ = 90.00°
Atoms (fractional coordinates):
Y 0.0000 0.0000 0.0000
Ta 0.0000 0.0000 0.5000
Ta 0.5000 0.5000 0.2989
Ta 0.5000 0.5000 0.7011

---

2.
This entry pairs a crystal structure of Y5Ta4 with its simulated powder XRD pattern. Radiation: λ = 1.5418 Å (Cu Kα). Structure: a cell relaxed with PBE.

Top 12 peaks for 2θ = 5–70°, in order of falling intensity:
d_spacing  2θ (°)  Rel. int.
2.573  34.87  100
2.664  33.64  49
7.992  11.07  48
1.520  60.95  25
2.163  41.75  16
1.469  63.29  16
1.884  48.32  15
5.651  15.68  12
1.762  51.91  9
1.903  47.81  7
1.598  57.67  6
1.998  45.39  5

Atomic structure:
a = 8.1838 Å, b = 8.1838 Å, c = 8.1838 Å
α = 92.66°, β = 92.66°, γ = 155.14°
Atoms (fractional coordinates):
Y 0.0000 0.0000 0.0000
Y 0.3318 0.3318 0.6637
Y 0.3318 0.6682 0.0000
Y 0.6682 0.3318 0.0000
Y 0.6682 0.6682 0.3363
Ta 0.0000 0.3643 0.3643
Ta 0.0000 0.6357 0.6357
Ta 0.3643 0.0000 0.3643
Ta 0.6357 0.0000 0.6357